Calculated powder diffractogram
Compound: Sr3Sn5Cl16
Radiation: Cu Ka
Structure: a cell relaxed with GGA-PBE
Peak positions follow from Bragg's law for the DFT cell and can differ from measured ones.

Structure:
```
data_Sr3Sn5Cl16
_chemical_formula_sum 'Sr6 Sn10 Cl32'
_space_group_name_H-M_alt 'C 1 m 1'
_space_group_IT_number 8
_space_group_name_Hall 'C -2y'
_cell_length_a 15.1457
_cell_length_b 8.7571
_cell_length_c 12.9127
_cell_angle_alpha 90.00
_cell_angle_beta 90.41
_cell_angle_gamma 90.00
loop_
_atom_site_label
_atom_site_type_symbol
_atom_site_fract_x
_atom_site_fract_y
_atom_site_fract_z
Sr1 Sr 0.0000 0.0000 0.0000
Sr2 Sr 0.0753 0.2503 0.5033
Sn1 Sn 0.2466 0.2474 0.0013
Sn2 Sn 0.3194 0.0000 0.4971
Sn3 Sn 0.3322 0.5000 0.7333
Sn4 Sn 0.4957 0.0000 0.2323
Cl1 Cl 0.0918 0.2462 0.1077
Cl2 Cl 0.1375 0.5000 0.3705
Cl3 Cl 0.1561 0.0000 0.3886
Cl4 Cl 0.1664 0.0000 0.8872
Cl5 Cl 0.1866 0.5000 0.8695
Cl6 Cl 0.2458 0.2301 0.6089
Cl7 Cl 0.3257 0.0000 0.1148
Cl8 Cl 0.3321 0.5000 0.1102
Cl9 Cl 0.4063 0.2903 0.8594
Cl10 Cl 0.4280 0.2179 0.3563
Cl11 Cl 0.4889 0.0000 0.6109
Cl12 Cl 0.4960 0.5000 0.6157
```

Largest 12 diffraction maxima, low angle first, 10° ≤ 2θ ≤ 90°:
- 13.55°, I = 100, hkl 2 0 1
- 13.72°, I = 32, hkl 0 0 2
- 18.03°, I = 33, hkl 2 0 -2
- 24.49°, I = 53, hkl 3 1 -2
- 24.61°, I = 32, hkl 3 1 2
- 27.23°, I = 28, hkl 4 0 -2
- 27.34°, I = 26, hkl 2 2 2
- 31.38°, I = 36, hkl 4 0 -3
- 31.53°, I = 40, hkl 2 2 3
- 41.27°, I = 63, hkl 0 4 0
- 42.28°, I = 19, hkl 2 2 -5
- 42.45°, I = 26, hkl 2 2 5

=====

Calculated powder diffractogram
Compound: ScMnH3
Radiation: Cu Ka
Structure: a cell relaxed with GGA-PBE
Peak positions follow from Bragg's law for the DFT cell and can differ from measured ones.

Structure:
```
data_ScMnH3
_chemical_formula_sum 'Sc8 Mn8 H24'
_space_group_name_H-M_alt 'C m c e'
_space_group_IT_number 64
_space_group_name_Hall '-C 2ac 2'
_cell_length_a 7.0554
_cell_length_b 9.5679
_cell_length_c 4.5863
_cell_angle_alpha 90.00
_cell_angle_beta 90.00
_cell_angle_gamma 90.00
loop_
_atom_site_label
_atom_site_type_symbol
_atom_site_fract_x
_atom_site_fract_y
_atom_site_fract_z
Sc1 Sc 0.2500 0.1314 0.2500
Mn1 Mn 0.0000 0.1087 0.7423
H1 H 0.0000 0.0606 0.3656
H2 H 0.0000 0.2365 0.0228
H3 H 0.2500 0.1094 0.7500
```

Largest 12 diffraction maxima, low angle first, 10° ≤ 2θ ≤ 90°:
- 37.25°, I = 100, hkl 2 2 1
- 37.60°, I = 23, hkl 0 4 0
- 39.29°, I = 23, hkl 0 0 2
- 42.63°, I = 3, hkl 0 4 1
- 51.83°, I = 10, hkl 4 0 0
- 55.51°, I = 14, hkl 0 4 2
- 65.78°, I = 8, hkl 4 4 0
- 66.93°, I = 8, hkl 4 0 2
- 67.63°, I = 12, hkl 2 6 1
- 69.88°, I = 14, hkl 2 2 3
- 79.39°, I = 9, hkl 4 4 2
- 88.17°, I = 7, hkl 6 2 1

=====

Calculated powder diffractogram
Compound: Tb2Sm2Tm5
Radiation: Cu Ka
Structure: a cell relaxed with GGA-PBE
Peak positions follow from Bragg's law for the DFT cell and can differ from measured ones.

Structure:
```
data_Tb2Sm2Tm5
_chemical_formula_sum 'Tb2 Sm2 Tm5'
_space_group_name_H-M_alt 'P -1'
_space_group_IT_number 2
_space_group_name_Hall '-P 1'
_cell_length_a 3.5738
_cell_length_b 8.7694
_cell_length_c 9.4115
_cell_angle_alpha 76.75
_cell_angle_beta 79.11
_cell_angle_gamma 89.97
loop_
_atom_site_label
_atom_site_type_symbol
_atom_site_fract_x
_atom_site_fract_y
_atom_site_fract_z
Tb1 Tb 0.1661 0.0002 0.1671
Sm1 Sm 0.0917 0.3345 0.3150
Tm1 Tm 0.2410 0.6661 0.0194
Tm2 Tm 0.4244 0.3330 0.6503
Tm3 Tm 0.5000 0.0000 0.5000
```

Largest 12 diffraction maxima, low angle first, 10° ≤ 2θ ≤ 90°:
- 29.09°, I = 36, hkl 1 0 2
- 29.77°, I = 22, hkl 0 0 3
- 31.47°, I = 74, hkl 0 3 0
- 32.15°, I = 100, hkl 1 1 -1
- 32.26°, I = 49, hkl 0 2 3
- 33.89°, I = 88, hkl -1 2 1
- 33.96°, I = 43, hkl 0 1 -3
- 40.62°, I = 22, hkl 0 2 -3
- 51.31°, I = 38, hkl 1 1 5
- 58.71°, I = 27, hkl -1 5 1
- 61.27°, I = 22, hkl 2 3 1
- 61.44°, I = 44, hkl 1 4 5

=====

Calculated powder diffractogram
Compound: Er2Zn2Ga3
Radiation: Cu Ka
Structure: a cell relaxed with GGA-PBE
Peak positions follow from Bragg's law for the DFT cell and can differ from measured ones.

Structure:
```
data_Er2Zn2Ga3
_chemical_formula_sum 'Er4 Zn4 Ga6'
_space_group_name_H-M_alt 'C 1 2/m 1'
_space_group_IT_number 12
_space_group_name_Hall '-C 2y'
_cell_length_a 10.4056
_cell_length_b 4.2677
_cell_length_c 6.5616
_cell_angle_alpha 90.00
_cell_angle_beta 113.05
_cell_angle_gamma 90.00
loop_
_atom_site_label
_atom_site_type_symbol
_atom_site_fract_x
_atom_site_fract_y
_atom_site_fract_z
Er1 Er 0.1508 0.0000 0.2726
Zn1 Zn 0.1502 0.0000 0.7481
Ga1 Ga 0.0000 0.5000 0.5000
Ga2 Ga 0.0972 0.5000 0.9300
```

Largest 12 diffraction maxima, low angle first, 10° ≤ 2θ ≤ 90°:
- 29.18°, I = 42, hkl 1 1 1
- 29.59°, I = 28, hkl 0 0 2
- 33.51°, I = 34, hkl 3 1 -1
- 34.54°, I = 99, hkl 1 1 -2
- 35.11°, I = 100, hkl 3 1 0
- 37.57°, I = 30, hkl 4 0 0
- 38.35°, I = 74, hkl 3 1 -2
- 40.61°, I = 48, hkl 1 1 2
- 41.12°, I = 26, hkl 2 0 2
- 42.36°, I = 60, hkl 0 2 0
- 58.04°, I = 23, hkl 4 0 -4
- 66.77°, I = 23, hkl 7 1 -2

=====

Calculated powder diffractogram
Compound: Pr3Er2Te5
Radiation: Cu Ka
Structure: a cell relaxed with GGA-PBE
Peak positions follow from Bragg's law for the DFT cell and can differ from measured ones.

Structure:
```
data_Pr3Er2Te5
_chemical_formula_sum 'Pr6 Er4 Te10'
_space_group_name_H-M_alt 'C 1 2/m 1'
_space_group_IT_number 12
_space_group_name_Hall '-C 2y'
_cell_length_a 14.7374
_cell_length_b 4.4146
_cell_length_c 11.0398
_cell_angle_alpha 90.00
_cell_angle_beta 120.01
_cell_angle_gamma 90.00
loop_
_atom_site_label
_atom_site_type_symbol
_atom_site_fract_x
_atom_site_fract_y
_atom_site_fract_z
Pr1 Pr 0.0000 0.0000 0.0000
Pr2 Pr 0.2118 0.0000 0.8078
Er1 Er 0.0959 0.5000 0.4018
Te1 Te 0.0000 0.0000 0.5000
Te2 Te 0.0944 0.5000 0.8854
Te3 Te 0.1973 0.0000 0.3163
```

Largest 12 diffraction maxima, low angle first, 10° ≤ 2θ ≤ 90°:
- 28.38°, I = 100, hkl 3 1 -2
- 40.29°, I = 38, hkl 1 1 -4
- 40.85°, I = 37, hkl 0 2 0
- 49.54°, I = 7, hkl 4 0 -6
- 50.49°, I = 20, hkl 2 2 2
- 58.73°, I = 12, hkl 6 2 -4
- 66.09°, I = 16, hkl 4 2 -6
- 66.89°, I = 16, hkl 3 3 -2
- 72.87°, I = 6, hkl 7 1 -8
- 73.98°, I = 8, hkl 4 2 4
- 74.06°, I = 5, hkl 1 3 -4
- 74.39°, I = 6, hkl 5 3 0

=====

Calculated powder diffractogram
Compound: AlGaRuPt
Radiation: Cu Ka
Structure: a cell relaxed with GGA-PBE
Peak positions follow from Bragg's law for the DFT cell and can differ from measured ones.

Structure:
```
data_AlGaRuPt
_chemical_formula_sum 'Al1 Ga1 Ru1 Pt1'
_space_group_name_H-M_alt 'P m m m'
_space_group_IT_number 47
_space_group_name_Hall '-P 2 2'
_cell_length_a 3.1786
_cell_length_b 4.1999
_cell_length_c 4.2451
_cell_angle_alpha 90.00
_cell_angle_beta 90.00
_cell_angle_gamma 90.00
loop_
_atom_site_label
_atom_site_type_symbol
_atom_site_fract_x
_atom_site_fract_y
_atom_site_fract_z
Al1 Al 0.0000 0.0000 0.0000
Ga1 Ga 0.0000 0.5000 0.5000
Ru1 Ru 0.5000 0.0000 0.5000
Pt1 Pt 0.5000 0.5000 0.0000
```

Largest 12 diffraction maxima, low angle first, 10° ≤ 2θ ≤ 90°:
- 21.15°, I = 16, hkl 0 1 0
- 28.07°, I = 17, hkl 1 0 0
- 29.93°, I = 29, hkl 0 1 1
- 35.27°, I = 9, hkl 1 0 1
- 41.50°, I = 100, hkl 1 1 1
- 42.59°, I = 23, hkl 0 0 2
- 43.08°, I = 22, hkl 0 2 0
- 58.03°, I = 9, hkl 2 0 0
- 62.18°, I = 15, hkl 0 2 2
- 74.60°, I = 9, hkl 2 0 2
- 77.21°, I = 16, hkl 1 1 3
- 77.88°, I = 16, hkl 1 3 1

=====

Calculated powder diffractogram
Compound: Y5Mg5Al12Fe4Si6
Radiation: Cu Ka
Structure: a cell relaxed with GGA-PBE
Peak positions follow from Bragg's law for the DFT cell and can differ from measured ones.

Structure:
```
data_Y5Mg5Al12Fe4Si6
_chemical_formula_sum 'Y5 Mg5 Al12 Fe4 Si6'
_space_group_name_H-M_alt 'P 4/m m m'
_space_group_IT_number 123
_space_group_name_Hall '-P 4 2'
_cell_length_a 11.8782
_cell_length_b 11.8782
_cell_length_c 3.9939
_cell_angle_alpha 90.00
_cell_angle_beta 90.00
_cell_angle_gamma 90.00
loop_
_atom_site_label
_atom_site_type_symbol
_atom_site_fract_x
_atom_site_fract_y
_atom_site_fract_z
Y1 Y 0.0000 0.0000 0.0000
Y2 Y 0.2533 0.5000 0.0000
Mg1 Mg 0.2019 0.2019 0.0000
Mg2 Mg 0.5000 0.5000 0.5000
Al1 Al 0.1127 0.3733 0.5000
Al2 Al 0.3313 0.3313 0.5000
Fe1 Fe 0.0000 0.3057 0.0000
Si1 Si 0.0000 0.1895 0.5000
Si2 Si 0.0000 0.5000 0.0000
```

Largest 12 diffraction maxima, low angle first, 10° ≤ 2θ ≤ 90°:
- 21.16°, I = 39, hkl 2 2 0
- 22.26°, I = 20, hkl 0 0 1
- 30.09°, I = 33, hkl 4 0 0
- 30.90°, I = 21, hkl 2 2 1
- 35.32°, I = 90, hkl 3 2 1
- 37.75°, I = 100, hkl 4 0 1
- 39.30°, I = 13, hkl 3 3 1
- 43.08°, I = 31, hkl 4 4 0
- 45.05°, I = 17, hkl 5 1 1
- 45.42°, I = 34, hkl 0 0 2
- 64.38°, I = 18, hkl 4 4 2
- 75.45°, I = 15, hkl 8 4 1

=====

Calculated powder diffractogram
Compound: Ca2ScTl2
Radiation: Cu Ka
Structure: a cell relaxed with GGA-PBE
Peak positions follow from Bragg's law for the DFT cell and can differ from measured ones.

Structure:
```
data_Ca2ScTl2
_chemical_formula_sum 'Ca4 Sc2 Tl4'
_space_group_name_H-M_alt 'P 4/m b m'
_space_group_IT_number 127
_space_group_name_Hall '-P 4 2ab'
_cell_length_a 9.1711
_cell_length_b 9.1711
_cell_length_c 3.4788
_cell_angle_alpha 90.00
_cell_angle_beta 90.00
_cell_angle_gamma 90.00
loop_
_atom_site_label
_atom_site_type_symbol
_atom_site_fract_x
_atom_site_fract_y
_atom_site_fract_z
Ca1 Ca 0.1297 0.3703 0.0000
Sc1 Sc 0.0000 0.0000 0.0000
Tl1 Tl 0.1706 0.6706 0.5000
```

Largest 12 diffraction maxima, low angle first, 10° ≤ 2θ ≤ 90°:
- 13.65°, I = 12, hkl 1 1 0
- 19.36°, I = 24, hkl 2 0 0
- 21.67°, I = 63, hkl 2 1 0
- 25.61°, I = 14, hkl 0 0 1
- 30.83°, I = 40, hkl 3 1 0
- 32.30°, I = 29, hkl 2 0 1
- 33.79°, I = 100, hkl 2 1 1
- 40.55°, I = 29, hkl 4 1 0
- 41.79°, I = 18, hkl 3 3 0
- 48.58°, I = 31, hkl 4 1 1
- 49.65°, I = 21, hkl 3 3 1
- 60.55°, I = 24, hkl 6 0 0

=====

Calculated powder diffractogram
Compound: ReB2W3
Radiation: Cu Ka
Structure: a cell relaxed with GGA-PBE
Peak positions follow from Bragg's law for the DFT cell and can differ from measured ones.

Structure:
```
data_ReB2W3
_chemical_formula_sum 'Re4 B8 W12'
_space_group_name_H-M_alt 'C m c m'
_space_group_IT_number 63
_space_group_name_Hall '-C 2c 2'
_cell_length_a 7.8834
_cell_length_b 7.8885
_cell_length_c 4.7465
_cell_angle_alpha 90.00
_cell_angle_beta 90.00
_cell_angle_gamma 90.00
loop_
_atom_site_label
_atom_site_type_symbol
_atom_site_fract_x
_atom_site_fract_y
_atom_site_fract_z
Re1 Re 0.0000 0.0800 0.2500
B1 B 0.2477 0.0000 0.0000
W1 W 0.0000 0.4174 0.2500
W2 W 0.1681 0.2505 0.7500
```

Largest 12 diffraction maxima, low angle first, 10° ≤ 2θ ≤ 90°:
- 22.55°, I = 10, hkl 2 0 0
- 32.10°, I = 21, hkl 2 2 0
- 37.91°, I = 27, hkl 0 0 2
- 40.88°, I = 100, hkl 1 3 1
- 50.50°, I = 14, hkl 2 2 2
- 51.85°, I = 12, hkl 4 2 0
- 66.00°, I = 10, hkl 4 2 2
- 70.48°, I = 10, hkl 1 3 3
- 70.49°, I = 10, hkl 3 1 3
- 71.83°, I = 8, hkl 6 0 0
- 72.70°, I = 20, hkl 3 5 1
- 84.21°, I = 12, hkl 6 0 2